For AgPClF6, a DFT-relaxed cell (PBE, Alexandria) gives the theoretical powder diffraction line list in this record (Cu Kα (λ = 1.5418 Å)).
Lines closer than 0.1° are merged.

The 12 most intense peaks (10° ≤ 2θ ≤ 90°), in order of rising 2θ:
d/Å, I_rel, hkl
5.062, 22, 0 1 0
4.688, 97, 1 0 0
3.802, 100, 0 1 1
3.763, 98, 0 1 -1
3.279, 36, 1 1 1
3.195, 29, 1 1 -1
2.845, 28, 0 0 2
2.491, 24, 0 1 2
2.348, 41, 2 1 0
2.304, 20, 0 2 -1
2.150, 22, 2 0 -1
1.895, 18, 1 2 2

Atomic structure:
```
data_AgPClF6
_chemical_formula_sum 'Ag1 P1 Cl1 F6'
_cell_length_a 4.826
_cell_length_b 5.210
_cell_length_c 5.693
_cell_angle_alpha 89.07
_cell_angle_beta 88.49
_cell_angle_gamma 76.31
_symmetry_space_group_name_H-M 'P -1'
_symmetry_Int_Tables_number 2
_symmetry_space_group_name_Hall '-P 1'
loop_
_atom_site_label
_atom_site_type_symbol
_atom_site_fract_x
_atom_site_fract_y
_atom_site_fract_z
Ag1 Ag 0.000 0.000 0.000
P1 P 0.000 0.500 0.500
Cl1 Cl 0.500 0.000 0.000
F1 F 0.140 0.635 0.273
F2 F 0.142 0.673 0.684
F3 F 0.284 0.266 0.509
```



For Ag2PbCl2F2, a DFT-relaxed cell (PBE, Alexandria) gives the theoretical powder diffraction line list in this record (Cu Kα (λ = 1.5418 Å)).
Lines closer than 0.1° are merged.

The 12 most intense peaks (10° ≤ 2θ ≤ 90°), in order of rising 2θ:
d/Å, I_rel, hkl
5.920, 79, 0 1 0
3.726, 53, 0 1 1
3.556, 99, 1 -1 0
3.375, 92, 1 1 -1
3.288, 100, 0 1 -2
3.122, 46, 0 2 -1
3.038, 70, 1 0 1
2.882, 43, 1 0 -2
2.397, 36, -1 1 2
2.384, 51, 0 2 1
2.081, 56, 2 0 -1
1.819, 44, 1 3 -2

Atomic structure:
```
data_Ag2PbCl2F2
_chemical_formula_sum 'Ag2 Pb1 Cl2 F2'
_cell_length_a 4.171
_cell_length_b 6.308
_cell_length_c 6.907
_cell_angle_alpha 108.67
_cell_angle_beta 103.70
_cell_angle_gamma 92.86
_symmetry_space_group_name_H-M 'P -1'
_symmetry_Int_Tables_number 2
_symmetry_space_group_name_Hall '-P 1'
loop_
_atom_site_label
_atom_site_type_symbol
_atom_site_fract_x
_atom_site_fract_y
_atom_site_fract_z
Ag1 Ag 0.177 0.243 0.417
Pb1 Pb 0.500 0.500 0.000
Cl1 Cl 0.116 0.817 0.238
F1 F 0.353 0.613 0.692
```



For Ag3PdCl6F2, a DFT-relaxed cell (PBE, Alexandria) gives the theoretical powder diffraction line list in this record (Cu Kα (λ = 1.5418 Å)).
Lines closer than 0.1° are merged.

The 12 most intense peaks (10° ≤ 2θ ≤ 90°), in order of rising 2θ:
d/Å, I_rel, hkl
5.658, 77, 0 0 1
5.012, 39, 2 0 -1
4.518, 73, 1 1 -1
3.919, 62, 1 1 1
3.112, 100, 2 2 0
2.577, 79, 2 2 1
2.506, 77, 4 0 -2
2.259, 53, 2 2 -2
1.960, 44, 2 2 2
1.878, 40, 6 2 -1
1.863, 40, 4 0 2
1.823, 43, 6 2 0

Atomic structure:
```
data_Ag3PdCl6F2
_chemical_formula_sum 'Ag6 Pd2 Cl12 F4'
_cell_length_a 13.303
_cell_length_b 7.136
_cell_length_c 5.912
_cell_angle_alpha 90.00
_cell_angle_beta 106.86
_cell_angle_gamma 90.00
_symmetry_space_group_name_H-M 'C 1 2/m 1'
_symmetry_Int_Tables_number 12
_symmetry_space_group_name_Hall '-C 2y'
loop_
_atom_site_label
_atom_site_type_symbol
_atom_site_fract_x
_atom_site_fract_y
_atom_site_fract_z
Ag1 Ag 0.000 0.000 0.000
Ag2 Ag 0.250 0.250 0.500
Pd1 Pd 0.000 0.500 0.500
Cl1 Cl 0.100 0.262 0.742
Cl2 Cl 0.114 0.500 0.265
F1 F 0.148 0.000 0.263
```



For PuAg2Cl4F2, a DFT-relaxed cell (PBE, Alexandria) gives the theoretical powder diffraction line list in this record (Cu Kα (λ = 1.5418 Å)).
Lines closer than 0.1° are merged.

The 12 most intense peaks (10° ≤ 2θ ≤ 90°), in order of rising 2θ:
d/Å, I_rel, hkl
6.945, 76, 0 0 2
3.993, 100, 0 1 3
3.946, 39, 0 2 0
3.494, 69, 1 1 0
3.431, 29, 0 2 2
3.122, 34, 1 1 2
2.982, 24, 1 0 3
2.620, 33, 0 1 5
2.379, 74, 1 2 3
2.181, 31, 1 3 0
1.963, 52, 1 2 5
1.751, 20, 2 1 3

Atomic structure:
```
data_PuAg2Cl4F2
_chemical_formula_sum 'Pu2 Ag4 Cl8 F4'
_cell_length_a 3.897
_cell_length_b 7.892
_cell_length_c 13.889
_cell_angle_alpha 90.00
_cell_angle_beta 90.00
_cell_angle_gamma 90.00
_symmetry_space_group_name_H-M 'I m m m'
_symmetry_Int_Tables_number 71
_symmetry_space_group_name_Hall '-I 2 2'
loop_
_atom_site_label
_atom_site_type_symbol
_atom_site_fract_x
_atom_site_fract_y
_atom_site_fract_z
Pu1 Pu 0.000 0.000 0.000
Ag1 Ag 0.000 0.000 0.379
Cl1 Cl 0.000 0.280 0.124
F1 F 0.000 0.500 0.412
```



For Rb3Ag2Cl2F4, a DFT-relaxed cell (PBE, Alexandria) gives the theoretical powder diffraction line list in this record (Cu Kα (λ = 1.5418 Å)).
Lines closer than 0.1° are merged.

The 12 most intense peaks (10° ≤ 2θ ≤ 90°), in order of rising 2θ:
d/Å, I_rel, hkl
3.351, 100, 1 0 5
3.211, 99, 1 1 0
2.795, 84, 1 0 7
2.270, 66, 2 0 0
1.879, 39, 2 1 5
1.762, 40, 2 1 7
1.739, 22, 1 1 12
1.605, 21, 2 2 0
1.529, 23, 2 0 12
1.436, 17, 3 1 0
1.391, 22, 1 0 17
1.186, 26, 2 1 17

Atomic structure:
```
data_Rb3Ag2Cl2F4
_chemical_formula_sum 'Rb6 Ag4 Cl4 F8'
_cell_length_a 4.541
_cell_length_b 4.541
_cell_length_c 24.826
_cell_angle_alpha 90.00
_cell_angle_beta 90.00
_cell_angle_gamma 90.00
_symmetry_space_group_name_H-M 'I 4/m m m'
_symmetry_Int_Tables_number 139
_symmetry_space_group_name_Hall '-I 4 2'
loop_
_atom_site_label
_atom_site_type_symbol
_atom_site_fract_x
_atom_site_fract_y
_atom_site_fract_z
Rb1 Rb 0.000 0.000 0.000
Rb2 Rb 0.000 0.000 0.171
Ag1 Ag 0.000 0.000 0.415
Cl1 Cl 0.000 0.000 0.308
F1 F 0.000 0.500 0.074
```



For Ag7S2ClF2, a DFT-relaxed cell (PBE, Alexandria) gives the theoretical powder diffraction line list in this record (Cu Kα (λ = 1.5418 Å)).
Lines closer than 0.1° are merged.

The 12 most intense peaks (10° ≤ 2θ ≤ 90°), in order of rising 2θ:
d/Å, I_rel, hkl
3.886, 10, 0 3 1
2.792, 100, 1 4 1
2.446, 35, 0 0 2
2.410, 39, 2 0 0
2.399, 14, 0 8 0
2.392, 10, 0 7 1
2.383, 12, 1 7 0
2.340, 21, 1 6 1
1.717, 22, 2 0 2
1.699, 16, 2 8 0
1.455, 13, 3 4 1
1.273, 18, 1 14 1

Atomic structure:
```
data_Ag7S2ClF2
_chemical_formula_sum 'Ag14 S4 Cl2 F4'
_cell_length_a 4.820
_cell_length_b 19.194
_cell_length_c 4.891
_cell_angle_alpha 90.00
_cell_angle_beta 90.00
_cell_angle_gamma 90.00
_symmetry_space_group_name_H-M 'I m m 2'
_symmetry_Int_Tables_number 44
_symmetry_space_group_name_Hall 'I 2 -2'
loop_
_atom_site_label
_atom_site_type_symbol
_atom_site_fract_x
_atom_site_fract_y
_atom_site_fract_z
Ag1 Ag 0.000 0.000 0.000
Ag2 Ag 0.000 0.110 0.485
Ag3 Ag 0.000 0.282 0.965
Ag4 Ag 0.000 0.391 0.409
S1 S 0.000 0.128 0.985
Cl1 Cl 0.000 0.500 0.951
F1 F 0.000 0.249 0.475
```



For Ag4SeCl2F, a DFT-relaxed cell (PBE, Alexandria) gives the theoretical powder diffraction line list in this record (Cu Kα (λ = 1.5418 Å)).
Lines closer than 0.1° are merged.

The 12 most intense peaks (10° ≤ 2θ ≤ 90°), in order of rising 2θ:
d/Å, I_rel, hkl
3.226, 32, 0 2 2
3.075, 27, 2 0 2
2.796, 54, 0 0 4
2.693, 100, 2 2 0
1.974, 20, 0 4 0
1.940, 69, 2 2 4
1.840, 14, 4 0 0
1.662, 12, 2 4 2
1.613, 19, 0 4 4
1.537, 14, 4 0 4
1.241, 13, 2 2 8
1.213, 13, 4 4 4

Atomic structure:
```
data_Ag4SeCl2F
_chemical_formula_sum 'Ag16 Se4 Cl8 F4'
_cell_length_a 7.362
_cell_length_b 7.898
_cell_length_c 11.185
_cell_angle_alpha 90.00
_cell_angle_beta 90.00
_cell_angle_gamma 90.00
_symmetry_space_group_name_H-M 'I m m a'
_symmetry_Int_Tables_number 74
_symmetry_space_group_name_Hall '-I 2b 2'
loop_
_atom_site_label
_atom_site_type_symbol
_atom_site_fract_x
_atom_site_fract_y
_atom_site_fract_z
Ag1 Ag 0.000 0.006 0.238
Ag2 Ag 0.229 0.250 0.010
Se1 Se 0.250 0.250 0.250
Cl1 Cl 0.000 0.000 0.500
Cl2 Cl 0.250 0.250 0.750
F1 F 0.000 0.000 0.000
```



For TcAg3Cl6F2, a DFT-relaxed cell (PBE, Alexandria) gives the theoretical powder diffraction line list in this record (Cu Kα (λ = 1.5418 Å)).
Lines closer than 0.1° are merged.

The 12 most intense peaks (10° ≤ 2θ ≤ 90°), in order of rising 2θ:
d/Å, I_rel, hkl
5.578, 72, 0 0 1
5.257, 48, 2 0 -1
4.563, 73, 1 1 -1
3.842, 55, 1 1 1
3.634, 65, 2 0 1
3.116, 100, 2 2 0
2.628, 84, 4 0 -2
2.541, 75, 2 2 1
2.281, 53, 2 2 -2
1.921, 40, 2 2 2
1.847, 52, 6 2 0
1.817, 43, 4 0 2

Atomic structure:
```
data_TcAg3Cl6F2
_chemical_formula_sum 'Tc2 Ag6 Cl12 F4'
_cell_length_a 13.889
_cell_length_b 7.104
_cell_length_c 5.971
_cell_angle_alpha 90.00
_cell_angle_beta 110.89
_cell_angle_gamma 90.00
_symmetry_space_group_name_H-M 'C 1 2/m 1'
_symmetry_Int_Tables_number 12
_symmetry_space_group_name_Hall '-C 2y'
loop_
_atom_site_label
_atom_site_type_symbol
_atom_site_fract_x
_atom_site_fract_y
_atom_site_fract_z
Tc1 Tc 0.000 0.000 0.000
Ag1 Ag 0.000 0.500 0.500
Ag2 Ag 0.250 0.250 0.000
Cl1 Cl 0.101 0.237 0.254
Cl2 Cl 0.110 0.000 0.775
F1 F 0.155 0.500 0.793
```



For TlAg2ClF2, a DFT-relaxed cell (PBE, Alexandria) gives the theoretical powder diffraction line list in this record (Cu Kα (λ = 1.5418 Å)).
Lines closer than 0.1° are merged.

The 12 most intense peaks (10° ≤ 2θ ≤ 90°), in order of rising 2θ:
d/Å, I_rel, hkl
7.439, 43, 0 0 1
4.598, 60, 0 1 1
3.720, 55, 0 0 2
3.623, 71, 1 1 1
3.138, 35, 0 1 2
2.966, 41, 2 0 0
2.783, 43, 1 1 -2
2.621, 100, 1 2 0
2.483, 41, 0 0 3
2.309, 42, 2 0 2
2.147, 31, 1 2 -2
2.139, 50, 1 2 2

Atomic structure:
```
data_TlAg2ClF2
_chemical_formula_sum 'Tl2 Ag4 Cl2 F4'
_cell_length_a 5.932
_cell_length_b 5.845
_cell_length_c 7.439
_cell_angle_alpha 90.00
_cell_angle_beta 90.52
_cell_angle_gamma 90.00
_symmetry_space_group_name_H-M 'P 1 21/m 1'
_symmetry_Int_Tables_number 11
_symmetry_space_group_name_Hall '-P 2yb'
loop_
_atom_site_label
_atom_site_type_symbol
_atom_site_fract_x
_atom_site_fract_y
_atom_site_fract_z
Tl1 Tl 0.064 0.250 0.161
Ag1 Ag 0.480 0.002 0.755
Cl1 Cl 0.294 0.750 0.476
F1 F 0.165 0.250 0.846
F2 F 0.331 0.750 0.981
```



For Tl2AgCl2F2, a DFT-relaxed cell (PBE, Alexandria) gives the theoretical powder diffraction line list in this record (Cu Kα (λ = 1.5418 Å)).
Lines closer than 0.1° are merged.

The 12 most intense peaks (10° ≤ 2θ ≤ 90°), in order of rising 2θ:
d/Å, I_rel, hkl
5.793, 33, 0 1 0
3.942, 74, 0 1 -1
3.659, 71, 1 0 1
3.545, 86, 0 1 2
3.371, 90, 1 1 0
3.021, 80, 0 2 1
2.959, 100, -1 1 1
2.894, 34, 1 1 2
2.828, 35, 1 -1 1
2.686, 31, 0 1 -2
2.401, 38, 1 2 2
1.842, 32, 1 -1 3

Atomic structure:
```
data_Tl2AgCl2F2
_chemical_formula_sum 'Tl2 Ag1 Cl2 F2'
_cell_length_a 4.009
_cell_length_b 6.118
_cell_length_c 7.543
_cell_angle_alpha 71.64
_cell_angle_beta 80.91
_cell_angle_gamma 83.50
_symmetry_space_group_name_H-M 'P -1'
_symmetry_Int_Tables_number 2
_symmetry_space_group_name_Hall '-P 1'
loop_
_atom_site_label
_atom_site_type_symbol
_atom_site_fract_x
_atom_site_fract_y
_atom_site_fract_z
Tl1 Tl 0.140 0.373 0.268
Ag1 Ag 0.500 0.000 0.000
Cl1 Cl 0.482 0.223 0.671
F1 F 0.253 0.726 0.954
```



For UAg3Cl6F2, a DFT-relaxed cell (PBE, Alexandria) gives the theoretical powder diffraction line list in this record (Cu Kα (λ = 1.5418 Å)).
Lines closer than 0.1° are merged.

The 12 most intense peaks (10° ≤ 2θ ≤ 90°), in order of rising 2θ:
d/Å, I_rel, hkl
6.384, 36, 1 1 0
6.146, 100, 0 0 1
4.991, 92, 1 1 -1
4.019, 62, 1 1 1
3.749, 40, 3 1 -1
3.192, 97, 2 2 0
2.835, 72, 4 0 -2
2.707, 30, 3 1 1
2.614, 60, 2 2 1
2.496, 48, 2 2 -2
2.010, 29, 2 2 2
1.922, 44, 2 2 -3

Atomic structure:
```
data_UAg3Cl6F2
_chemical_formula_sum 'U2 Ag6 Cl12 F4'
_cell_length_a 13.512
_cell_length_b 7.465
_cell_length_c 6.743
_cell_angle_alpha 90.00
_cell_angle_beta 114.30
_cell_angle_gamma 90.00
_symmetry_space_group_name_H-M 'C 1 2/m 1'
_symmetry_Int_Tables_number 12
_symmetry_space_group_name_Hall '-C 2y'
loop_
_atom_site_label
_atom_site_type_symbol
_atom_site_fract_x
_atom_site_fract_y
_atom_site_fract_z
U1 U 0.000 0.000 0.000
Ag1 Ag 0.000 0.500 0.500
Ag2 Ag 0.250 0.250 0.000
Cl1 Cl 0.107 0.000 0.756
Cl2 Cl 0.119 0.241 0.247
F1 F 0.148 0.500 0.793
```



For FeAg2Cl8, a DFT-relaxed cell (PBE, Alexandria) gives the theoretical powder diffraction line list in this record (Cu Kα (λ = 1.5418 Å)).
Lines closer than 0.1° are merged.

The 12 most intense peaks (10° ≤ 2θ ≤ 90°), in order of rising 2θ:
d/Å, I_rel, hkl
6.005, 100, 1 1 -1
4.986, 23, 2 0 -1
4.290, 13, 2 0 -2
4.204, 32, 0 2 0
3.804, 39, 0 2 1
3.156, 18, 1 1 2
3.062, 15, 0 2 2
3.029, 23, 3 1 -2
2.638, 19, 2 2 1
2.380, 20, 4 0 -3
2.162, 29, 1 3 2
2.144, 13, 4 2 -2

Atomic structure:
```
data_FeAg2Cl8
_chemical_formula_sum 'Fe2 Ag4 Cl16'
_cell_length_a 9.979
_cell_length_b 8.408
_cell_length_c 10.086
_cell_angle_alpha 90.00
_cell_angle_beta 117.59
_cell_angle_gamma 90.00
_symmetry_space_group_name_H-M 'C 1 2/m 1'
_symmetry_Int_Tables_number 12
_symmetry_space_group_name_Hall '-C 2y'
loop_
_atom_site_label
_atom_site_type_symbol
_atom_site_fract_x
_atom_site_fract_y
_atom_site_fract_z
Fe1 Fe 0.000 0.000 0.000
Ag1 Ag 0.198 0.500 0.592
Cl1 Cl 0.004 0.500 0.330
Cl2 Cl 0.121 0.184 0.164
Cl3 Cl 0.124 0.000 0.507
```



For Fe2AgCl, a DFT-relaxed cell (PBE, Alexandria) gives the theoretical powder diffraction line list in this record (Cu Kα (λ = 1.5418 Å)).
Lines closer than 0.1° are merged.

The 12 most intense peaks (10° ≤ 2θ ≤ 90°), in order of rising 2θ:
d/Å, I_rel, hkl
7.173, 92, 0 0 1
3.132, 51, 1 0 0
2.391, 24, 0 0 3
2.371, 34, 1 0 -2
2.348, 33, 1 0 2
2.304, 100, 0 1 2
2.169, 61, 1 1 0
2.080, 32, 1 1 -1
2.072, 28, 1 1 1
1.910, 22, 1 0 -3
1.891, 21, 1 0 3
1.871, 24, 0 1 3

Atomic structure:
```
data_Fe2AgCl
_chemical_formula_sum 'Fe2 Ag1 Cl1'
_cell_length_a 3.132
_cell_length_b 3.007
_cell_length_c 7.173
_cell_angle_alpha 90.00
_cell_angle_beta 90.56
_cell_angle_gamma 90.00
_symmetry_space_group_name_H-M 'P 1 m 1'
_symmetry_Int_Tables_number 6
_symmetry_space_group_name_Hall 'P -2y'
loop_
_atom_site_label
_atom_site_type_symbol
_atom_site_fract_x
_atom_site_fract_y
_atom_site_fract_z
Fe1 Fe 0.000 0.000 0.000
Fe2 Fe 0.496 0.500 0.835
Ag1 Ag 0.506 0.500 0.241
Cl1 Cl 0.485 0.000 0.579
```



For Fe3AgCl, a DFT-relaxed cell (PBE, Alexandria) gives the theoretical powder diffraction line list in this record (Cu Kα (λ = 1.5418 Å)).
Lines closer than 0.1° are merged.

The 11 most intense peaks (10° ≤ 2θ ≤ 90°), in order of rising 2θ:
d/Å, I_rel, hkl
4.161, 1, 1 0 0
2.943, 33, 1 1 0
2.403, 100, 1 1 1
2.081, 78, 2 0 0
1.861, 1, 2 1 0
1.699, 12, 2 1 1
1.471, 47, 2 2 0
1.316, 5, 3 1 0
1.255, 33, 3 1 1
1.201, 15, 2 2 2
1.112, 6, 3 2 1

Atomic structure:
```
data_Fe3AgCl
_chemical_formula_sum 'Fe3 Ag1 Cl1'
_cell_length_a 4.161
_cell_length_b 4.161
_cell_length_c 4.161
_cell_angle_alpha 90.00
_cell_angle_beta 90.00
_cell_angle_gamma 90.00
_symmetry_space_group_name_H-M 'P m -3 m'
_symmetry_Int_Tables_number 221
_symmetry_space_group_name_Hall '-P 4 2 3'
loop_
_atom_site_label
_atom_site_type_symbol
_atom_site_fract_x
_atom_site_fract_y
_atom_site_fract_z
Fe1 Fe 0.000 0.000 0.500
Ag1 Ag 0.500 0.500 0.500
Cl1 Cl 0.000 0.000 0.000
```